Diffraction record for Al4W9. The X-ray powder pattern is computed, not measured: it uses a GGA-PBE-relaxed structure and Cu Kα X-rays.
Intensities are scaled so that the largest is 100.

Peak list (12 most intense, 2θ from 10° to 80°, sorted by position)
- 19.58°, I 22.1
- 19.74°, I 14.8
- 35.50°, I 19.3
- 39.61°, I 100.0
- 39.76°, I 27.7
- 41.54°, I 17.3
- 41.78°, I 16.5
- 43.01°, I 40.3
- 46.16°, I 15.8
- 64.67°, I 15.1
- 71.69°, I 20.7
- 72.09°, I 21.4

Structural model:
Unit cell a=9.5637 b=9.5637 c=9.5637 alpha=31.96 beta=31.96 gamma=31.96
Sites, in units of the cell vectors:
Al  0.0506  0.0506  0.0506
Al  0.3334  0.3334  0.3334
Al  0.6666  0.6666  0.6666
Al  0.9494  0.9494  0.9494
W  0.0839  0.5871  0.5871
W  0.1543  0.1543  0.1543
W  0.4129  0.4129  0.9161
W  0.4129  0.9161  0.4129
W  0.5000  0.5000  0.5000
W  0.5871  0.0839  0.5871
W  0.5871  0.5871  0.0839
W  0.8457  0.8457  0.8457
W  0.9161  0.4129  0.4129